# 1
Simulated XRD peak list of CsCd6In for Cu Kα, 1.54184 Å, from a GGA-PBE-relaxed structure.
Kinematic intensities with the Lorentz-polarization factor, no thermal factor.

Atomic structure:
Lattice parameters (Å, degrees): 4.9567 4.9567 9.9071 90.00 90.00 90.00
Element x y z (fractional)
Cs  0.0000  0.0000  0.0000
Cd  0.0000  0.5000  0.3271
Cd  0.0000  0.5000  0.6729
Cd  0.5000  0.0000  0.3271
Cd  0.5000  0.0000  0.6729
Cd  0.5000  0.5000  0.1522
Cd  0.5000  0.5000  0.8478
In  0.0000  0.0000  0.5000

Top 10 peaks for 5° ≤ 2θ ≤ 70°, by angle:
3.504 Å, I 61
3.304 Å, I 72
2.861 Å, I 63
2.478 Å, I 100
2.404 Å, I 93
2.023 Å, I 32
1.752 Å, I 34
1.652 Å, I 36
1.416 Å, I 32
1.374 Å, I 33

=====

# 2
Simulated XRD peak list of PmAl4Pd2Au for Cu Kα, 1.54184 Å, from a GGA-PBE-relaxed structure.
Kinematic intensities with the Lorentz-polarization factor, no thermal factor.

Atomic structure:
Lattice parameters (Å, degrees): 9.4362 9.4362 9.4362 26.40 26.40 26.40
Element x y z (fractional)
Pm  0.0000  0.0000  0.0000
Al  0.1268  0.1268  0.1268
Al  0.4023  0.4023  0.4023
Al  0.5977  0.5977  0.5977
Al  0.8732  0.8732  0.8732
Pd  0.2430  0.2430  0.2430
Pd  0.7570  0.7570  0.7570
Au  0.5000  0.5000  0.5000

Top 10 peaks for 5° ≤ 2θ ≤ 70°, by angle:
9.102 Å, I 17
3.275 Å, I 100
2.519 Å, I 88
2.276 Å, I 15
2.155 Å, I 66
1.800 Å, I 18
1.637 Å, I 23
1.565 Å, I 27
1.552 Å, I 14
1.382 Å, I 15

=====

# 3
Simulated XRD peak list of Tb3Nd2Sm5 for Cu Kα, 1.54184 Å, from a GGA-PBE-relaxed structure.
Kinematic intensities with the Lorentz-polarization factor, no thermal factor.

Atomic structure:
Lattice parameters (Å, degrees): 12.4431 12.4431 12.4431 135.30 56.14 147.83
Element x y z (fractional)
Tb  0.1220  0.2488  0.3708
Tb  0.2500  0.2500  0.0000
Tb  0.3780  0.7488  0.1268
Tb  0.6220  0.2512  0.8732
Tb  0.7500  0.7500  0.0000
Tb  0.8780  0.7512  0.6292
Nd  0.1227  0.9000  0.0227
Nd  0.3773  0.4000  0.7772
Nd  0.6227  0.6000  0.2228
Nd  0.8773  0.1000  0.9773
Sm  0.0013  0.2500  0.7513
Sm  0.1263  0.5927  0.7190
Sm  0.2500  0.7500  0.5000
Sm  0.3737  0.0927  0.4663
Sm  0.4987  0.2500  0.2487
Sm  0.5013  0.7500  0.7513
Sm  0.6263  0.9073  0.5337
Sm  0.7500  0.2500  0.5000
Sm  0.8737  0.4073  0.2810
Sm  0.9987  0.7500  0.2487

Top 10 peaks for 5° ≤ 2θ ≤ 70°, by angle:
4.732 Å, I 18
3.584 Å, I 38
2.920 Å, I 100
2.787 Å, I 20
2.775 Å, I 60
2.745 Å, I 42
2.258 Å, I 33
1.832 Å, I 18
1.744 Å, I 15
1.616 Å, I 17

=====

# 4
Simulated XRD peak list of MnCu4Pd for Cu Kα, 1.54184 Å, from a GGA-PBE-relaxed structure.
Kinematic intensities with the Lorentz-polarization factor, no thermal factor.

Atomic structure:
Lattice parameters (Å, degrees): 4.6139 4.6139 5.2830 107.83 107.83 47.28
Element x y z (fractional)
Mn  0.0000  0.0000  0.0000
Cu  0.3296  0.3296  0.1615
Cu  0.3324  0.3324  0.6685
Cu  0.6676  0.6676  0.3315
Cu  0.6704  0.6704  0.8385
Pd  0.0000  0.0000  0.5000

Top 10 peaks for 5° ≤ 2θ ≤ 70°, by angle:
4.979 Å, I 5
3.789 Å, I 3
3.356 Å, I 2
2.984 Å, I 4
2.701 Å, I 2
2.617 Å, I 2
2.158 Å, I 100
2.150 Å, I 99
1.895 Å, I 33
1.851 Å, I 61

=====

# 5
Simulated XRD peak list of SbTeBr3 for Cu Kα, 1.54184 Å, from a GGA-PBE-relaxed structure.
Kinematic intensities with the Lorentz-polarization factor, no thermal factor.

Atomic structure:
Lattice parameters (Å, degrees): 8.0243 7.9918 15.5052 90.00 96.15 90.00
Element x y z (fractional)
Sb  0.0882  0.1293  0.1195
Sb  0.0882  0.8707  0.6195
Sb  0.9118  0.1293  0.3805
Sb  0.9118  0.8707  0.8805
Te  0.0740  0.4945  0.3291
Te  0.0740  0.5055  0.8291
Te  0.9260  0.4945  0.1709
Te  0.9260  0.5055  0.6709
Br  0.1575  0.1732  0.5538
Br  0.1575  0.8268  0.0538
Br  0.2526  0.0558  0.2703
Br  0.2526  0.9442  0.7703
Br  0.3271  0.2826  0.0555
Br  0.3271  0.7174  0.5555
Br  0.6729  0.2826  0.4445
Br  0.6729  0.7174  0.9445
Br  0.7474  0.0558  0.2297
Br  0.7474  0.9442  0.7297
Br  0.8425  0.1732  0.9462
Br  0.8425  0.8268  0.4462

Top 10 peaks for 5° ≤ 2θ ≤ 70°, by angle:
7.979 Å, I 100
7.095 Å, I 27
5.268 Å, I 14
4.729 Å, I 35
3.571 Å, I 17
3.548 Å, I 32
3.364 Å, I 47
3.333 Å, I 37
3.303 Å, I 17
2.527 Å, I 16